Starting from the PBE geometry in Alexandria, the powder diffractogram of Tb5Er2Ru5 was calculated for CuKα.
Kinematic intensities with the Lorentz-polarization factor, no thermal factor.

Crystal structure
```
Tb5Er2Ru5
1.0
4.1931 -2.4184 0.0000
4.1931 2.4184 0.0000
-2.7769 0.0000 13.1587
Tb Er Ru
5 2 5
Direct
0.0000 0.0000 0.0000
0.1907 0.1907 0.5721
0.2840 0.2840 0.8524
0.7160 0.7160 0.1476
0.8093 0.8093 0.4279
0.4283 0.4283 0.2840
0.5717 0.5717 0.7160
0.1147 0.1147 0.3439
0.3551 0.3551 0.0653
0.5000 0.5000 0.5000
0.6449 0.6449 0.9347
0.8853 0.8853 0.6561
```

The 10 most intense peaks (2θ = 10–90°), by angle:
26.50 deg, d 3.364, intensity 14
31.12 deg, d 2.874, intensity 19
32.86 deg, d 2.726, intensity 19
36.54 deg, d 2.459, intensity 42
37.16 deg, d 2.420, intensity 100
38.48 deg, d 2.339, intensity 21
53.10 deg, d 1.725, intensity 14
66.59 deg, d 1.404, intensity 14
66.99 deg, d 1.397, intensity 18
79.17 deg, d 1.210, intensity 11



Starting from the PBE geometry in Alexandria, the powder diffractogram of TbEr2ThRu4 was calculated for CuKα.
Kinematic intensities with the Lorentz-polarization factor, no thermal factor.

Crystal structure
```
TbEr2ThRu4
1.0
2.4246 1.3998 7.8794
-2.4246 1.3998 7.8794
0.0000 -2.7996 7.8794
Tb Er Th Ru
1 2 1 4
Direct
0.0000 0.0000 0.0000
0.2538 0.2538 0.2538
0.7462 0.7462 0.7462
0.5000 0.5000 0.5000
0.1272 0.1272 0.1272
0.3778 0.3778 0.3778
0.6222 0.6222 0.6222
0.8728 0.8728 0.8728
```

The 10 most intense peaks (2θ = 10–90°), by angle:
26.03 deg, d 3.423, intensity 17
37.08 deg, d 2.425, intensity 100
37.21 deg, d 2.417, intensity 97
45.86 deg, d 1.979, intensity 4
53.54 deg, d 1.712, intensity 34
60.39 deg, d 1.533, intensity 4
66.89 deg, d 1.399, intensity 53
67.17 deg, d 1.394, intensity 16
78.98 deg, d 1.212, intensity 11
79.29 deg, d 1.208, intensity 10



Starting from the PBE geometry in Alexandria, the powder diffractogram of Er8TeRu2 was calculated for CuKα.
Kinematic intensities with the Lorentz-polarization factor, no thermal factor.

Crystal structure
```
Er8TeRu2
1.0
4.2274 -6.3655 0.0000
4.2274 6.3655 0.0000
-1.2885 0.0000 5.5702
Er Te Ru
8 1 2
Direct
0.0693 0.3376 0.6014
0.2475 0.7525 0.0000
0.3376 0.0693 0.6014
0.3881 0.3881 0.2091
0.6119 0.6119 0.7909
0.6624 0.9307 0.3986
0.7525 0.2475 0.0000
0.9307 0.6624 0.3986
0.0000 0.0000 0.0000
0.3126 0.6874 0.5000
0.6874 0.3126 0.5000
```

The 10 most intense peaks (2θ = 10–90°), by angle:
27.15 deg, d 3.285, intensity 21
29.74 deg, d 3.004, intensity 54
29.95 deg, d 2.984, intensity 20
32.36 deg, d 2.767, intensity 100
33.72 deg, d 2.658, intensity 47
35.65 deg, d 2.518, intensity 47
39.07 deg, d 2.305, intensity 26
39.41 deg, d 2.286, intensity 21
42.28 deg, d 2.138, intensity 20
66.49 deg, d 1.406, intensity 23



Starting from the PBE geometry in Alexandria, the powder diffractogram of Er5TlRu2 was calculated for CuKα.
Kinematic intensities with the Lorentz-polarization factor, no thermal factor.

Crystal structure
```
Er5TlRu2
1.0
-3.8278 3.8278 6.8006
3.8278 -3.8278 6.8006
3.8278 3.8278 -6.8006
Er Tl Ru
10 2 4
Direct
0.0000 0.0000 0.0000
0.0279 0.5279 0.8189
0.2091 0.0279 0.5000
0.2909 0.7909 0.8189
0.4721 0.2909 0.5000
0.5000 0.5000 0.0000
0.5279 0.7091 0.5000
0.7091 0.2091 0.1811
0.7909 0.9721 0.5000
0.9721 0.4721 0.1811
0.2500 0.2500 0.0000
0.7500 0.7500 0.0000
0.1418 0.3582 0.5000
0.3582 0.8582 0.2165
0.6418 0.1418 0.7835
0.8582 0.6418 0.5000
```

The 10 most intense peaks (2θ = 10–90°), by angle:
26.85 deg, d 3.320, intensity 18
31.06 deg, d 2.879, intensity 41
32.78 deg, d 2.732, intensity 100
33.10 deg, d 2.707, intensity 19
35.31 deg, d 2.542, intensity 47
37.14 deg, d 2.421, intensity 80
42.44 deg, d 2.130, intensity 30
57.85 deg, d 1.594, intensity 23
67.30 deg, d 1.391, intensity 27
69.27 deg, d 1.356, intensity 16



Starting from the PBE geometry in Alexandria, the powder diffractogram of Er3Tm3TlRu2 was calculated for CuKα.
Kinematic intensities with the Lorentz-polarization factor, no thermal factor.

Crystal structure
```
Er3Tm3TlRu2
1.0
8.3123 0.0000 0.0000
-4.1561 7.1986 0.0000
0.0000 0.0000 3.6610
Er Tm Tl Ru
3 3 1 2
Direct
0.0000 0.6956 0.0000
0.3044 0.3044 0.0000
0.6956 0.0000 0.0000
0.0000 0.3841 0.5000
0.3841 0.0000 0.5000
0.6159 0.6159 0.5000
0.0000 0.0000 0.5000
0.3333 0.6667 0.0000
0.6667 0.3333 0.0000
```

The 10 most intense peaks (2θ = 10–90°), by angle:
32.59 deg, d 2.747, intensity 100
32.92 deg, d 2.721, intensity 17
34.96 deg, d 2.567, intensity 46
37.48 deg, d 2.400, intensity 78
41.34 deg, d 2.184, intensity 19
49.81 deg, d 1.830, intensity 16
50.50 deg, d 1.807, intensity 21
61.61 deg, d 1.505, intensity 26
63.97 deg, d 1.455, intensity 33
70.25 deg, d 1.340, intensity 15



Starting from the PBE geometry in Alexandria, the powder diffractogram of Er4Tm3Ru4 was calculated for CuKα.
Kinematic intensities with the Lorentz-polarization factor, no thermal factor.

Crystal structure
```
Er4Tm3Ru4
1.0
-1.7391 4.3852 8.0802
1.7391 -4.3852 8.0802
1.7391 4.3852 -8.0802
Er Tm Ru
4 3 4
Direct
0.0267 0.8354 0.1913
0.3559 0.1646 0.1913
0.6441 0.8354 0.8087
0.9733 0.1646 0.8087
0.0000 0.5000 0.5000
0.4030 0.4030 0.0000
0.5970 0.5970 0.0000
0.2589 0.7589 0.5000
0.2776 0.0000 0.2776
0.7224 0.0000 0.7224
0.7411 0.2411 0.5000
```

The 10 most intense peaks (2θ = 10–90°), by angle:
29.45 deg, d 3.033, intensity 22
30.60 deg, d 2.922, intensity 24
33.34 deg, d 2.688, intensity 100
34.92 deg, d 2.569, intensity 50
35.56 deg, d 2.524, intensity 62
38.00 deg, d 2.368, intensity 22
39.26 deg, d 2.295, intensity 38
41.89 deg, d 2.157, intensity 18
52.63 deg, d 1.739, intensity 20
63.72 deg, d 1.461, intensity 31



Starting from the PBE geometry in Alexandria, the powder diffractogram of Er2Tm5Ru5 was calculated for CuKα.
Kinematic intensities with the Lorentz-polarization factor, no thermal factor.

Crystal structure
```
Er2Tm5Ru5
1.0
4.1410 -2.3916 0.0000
4.1410 2.3916 0.0000
-2.7503 0.0000 13.0037
Er Tm Ru
2 5 5
Direct
0.0720 0.0720 0.2159
0.9280 0.9280 0.7841
0.2153 0.2153 0.6459
0.3097 0.3097 0.9292
0.5000 0.5000 0.5000
0.6903 0.6903 0.0708
0.7847 0.7847 0.3541
0.0000 0.0000 0.0000
0.1450 0.1450 0.4347
0.3850 0.3850 0.1551
0.6150 0.6150 0.8449
0.8550 0.8550 0.5653
```

The 10 most intense peaks (2θ = 10–90°), by angle:
26.82 deg, d 3.324, intensity 16
31.50 deg, d 2.840, intensity 20
33.26 deg, d 2.694, intensity 20
36.99 deg, d 2.430, intensity 39
37.62 deg, d 2.391, intensity 100
38.96 deg, d 2.312, intensity 21
53.78 deg, d 1.704, intensity 13
67.48 deg, d 1.388, intensity 13
67.89 deg, d 1.381, intensity 18
80.30 deg, d 1.196, intensity 11



Starting from the PBE geometry in Alexandria, the powder diffractogram of ErTmZnRu was calculated for CuKα.
Kinematic intensities with the Lorentz-polarization factor, no thermal factor.

Crystal structure
```
ErTmZnRu
1.0
3.4051 0.0000 0.0000
0.0000 3.4051 0.0000
0.0000 0.0000 7.1561
Er Tm Zn Ru
1 1 1 1
Direct
0.0000 0.0000 0.0000
0.0000 0.0000 0.4581
0.5000 0.5000 0.7268
0.5000 0.5000 0.2309
```

The 10 most intense peaks (2θ = 10–90°), by angle:
12.37 deg, d 7.156, intensity 8
24.88 deg, d 3.578, intensity 6
26.17 deg, d 3.405, intensity 12
36.42 deg, d 2.467, intensity 100
37.35 deg, d 2.408, intensity 49
51.05 deg, d 1.789, intensity 8
53.85 deg, d 1.703, intensity 17
64.94 deg, d 1.436, intensity 16
66.76 deg, d 1.401, intensity 34
77.38 deg, d 1.233, intensity 10



Starting from the PBE geometry in Alexandria, the powder diffractogram of Er3URu3 was calculated for CuKα.
Kinematic intensities with the Lorentz-polarization factor, no thermal factor.

Crystal structure
```
Er3URu3
1.0
4.6159 2.6650 2.0520
-4.6159 2.6650 2.0520
0.0000 -5.3300 2.0520
Er U Ru
3 1 3
Direct
0.0001 0.5000 0.5000
0.5000 0.0001 0.5000
0.5000 0.5000 0.0001
0.9997 0.9997 0.9997
0.0002 0.0002 0.5008
0.0002 0.5008 0.0002
0.5008 0.0002 0.0002
```

The 10 most intense peaks (2θ = 10–90°), by angle:
18.19 deg, d 4.878, intensity 15
26.59 deg, d 3.353, intensity 37
36.85 deg, d 2.439, intensity 100
39.03 deg, d 2.308, intensity 85
54.76 deg, d 1.676, intensity 32
64.93 deg, d 1.436, intensity 19
69.28 deg, d 1.356, intensity 32
70.70 deg, d 1.333, intensity 15
78.43 deg, d 1.219, intensity 11
83.83 deg, d 1.154, intensity 10



Starting from the PBE geometry in Alexandria, the powder diffractogram of Er3URu4 was calculated for CuKα.
Kinematic intensities with the Lorentz-polarization factor, no thermal factor.

Crystal structure
```
Er3URu4
1.0
-3.3666 3.3666 3.3666
3.3666 -3.3666 3.3666
3.3666 3.3666 -3.3666
Er U Ru
3 1 4
Direct
0.0000 0.5000 0.5000
0.5000 0.0000 0.5000
0.5000 0.5000 0.0000
0.0000 0.0000 0.0000
0.0000 0.0000 0.5000
0.0000 0.5000 0.0000
0.5000 0.0000 0.0000
0.5000 0.5000 0.5000
```

The 10 most intense peaks (2θ = 10–90°), by angle:
18.64 deg, d 4.761, intensity 2
26.48 deg, d 3.367, intensity 9
32.57 deg, d 2.749, intensity 1
37.79 deg, d 2.381, intensity 100
46.73 deg, d 1.944, intensity 3
54.51 deg, d 1.683, intensity 17
61.60 deg, d 1.506, intensity 4
68.24 deg, d 1.374, intensity 35
80.73 deg, d 1.190, intensity 11
86.78 deg, d 1.122, intensity 2



Starting from the PBE geometry in Alexandria, the powder diffractogram of Er2U3Ru4 was calculated for CuKα.
Kinematic intensities with the Lorentz-polarization factor, no thermal factor.

Crystal structure
```
Er2U3Ru4
1.0
-4.5215 6.0075 3.7528
4.5215 -6.0075 3.7528
4.5215 6.0075 -3.7528
Er U Ru
4 6 8
Direct
0.2259 0.0370 0.2629
0.2741 0.5370 0.8111
0.7259 0.4630 0.1889
0.7741 0.9630 0.7371
0.2500 0.1105 0.8605
0.2500 0.3895 0.1395
0.2500 0.7500 0.5000
0.7500 0.2500 0.5000
0.7500 0.6105 0.8605
0.7500 0.8895 0.1395
0.0406 0.8752 0.5386
0.1634 0.6248 0.1654
0.3366 0.5020 0.4614
0.4594 0.9980 0.8346
0.5406 0.0020 0.1654
0.6634 0.4980 0.5386
0.8366 0.3752 0.8346
0.9594 0.1248 0.4614
```

The 10 most intense peaks (2θ = 10–90°), by angle:
23.71 deg, d 3.753, intensity 38
28.03 deg, d 3.183, intensity 100
29.74 deg, d 3.004, intensity 19
34.46 deg, d 2.603, intensity 33
35.89 deg, d 2.502, intensity 25
37.34 deg, d 2.408, intensity 69
39.05 deg, d 2.306, intensity 25
44.71 deg, d 2.027, intensity 41
51.74 deg, d 1.767, intensity 28
54.62 deg, d 1.680, intensity 26



Starting from the PBE geometry in Alexandria, the powder diffractogram of Er3URu4 was calculated for CuKα.
Kinematic intensities with the Lorentz-polarization factor, no thermal factor.

Crystal structure
```
Er3URu4
1.0
5.6831 0.0000 0.0000
2.8327 4.9956 0.0000
0.0054 2.5382 5.8210
Er U Ru
3 1 4
Direct
0.0000 0.0000 0.0000
0.0404 0.3989 0.3692
0.4387 0.6011 0.6326
0.7232 0.0005 0.5000
0.0186 0.5247 0.8306
0.4822 0.0047 0.8002
0.4864 0.9965 0.2002
0.5453 0.4760 0.1696
```

The 10 most intense peaks (2θ = 10–90°), by angle:
26.35 deg, d 3.383, intensity 22
29.04 deg, d 3.075, intensity 31
31.35 deg, d 2.854, intensity 35
32.40 deg, d 2.763, intensity 23
33.32 deg, d 2.689, intensity 30
35.14 deg, d 2.554, intensity 47
36.65 deg, d 2.452, intensity 55
37.19 deg, d 2.417, intensity 53
37.28 deg, d 2.412, intensity 21
39.36 deg, d 2.289, intensity 100